(1)
Structure and computed powder diffractogram of BaAl5PtAu (the GGA-PBE geometry in OQMD; Cu Kα, 1.54184 Å).

Principal peaks in the range 10° ≤ 2θ ≤ 80°, in order of rising 2θ:
| Position (°2θ) | Rel. int. |
| --- | --- |
| 17.1 | 26 |
| 24.1 | 59 |
| 28.5 | 15 |
| 29.8 | 100 |
| 33.3 | 18 |
| 34.6 | 13 |
| 42.4 | 12 |
| 42.6 | 56 |
| 46.1 | 34 |
| 59.0 | 15 |
| 61.8 | 18 |
| 70.1 | 13 |

Structural model:
```
BaAl5PtAu
1.0
4.2482 0.0000 0.0000
0.0000 7.3897 0.0000
0.0000 0.0000 10.3694
Ba Al Pt Au
2 10 2 2
Cartesian
0.0000 0.0000 0.0000
2.1241 3.6949 5.1847
0.0000 1.3538 3.5777
0.0000 1.4374 6.7653
0.0000 3.6949 0.0001
0.0000 5.9523 6.7653
0.0000 6.0359 3.5777
2.1241 0.0000 5.1848
2.1241 2.2574 1.5806
2.1241 2.3411 8.7624
2.1241 5.0486 8.7624
2.1241 5.1323 1.5806
0.0000 3.6949 7.9720
2.1241 0.0000 2.7873
0.0000 3.6949 2.4711
2.1241 0.0000 7.6558
```

(2)
Structure and computed powder diffractogram of Cu5Ag4 (the GGA-PBE geometry in OQMD; Cu Kα, 1.54184 Å).

Principal peaks in the range 10° ≤ 2θ ≤ 80°, in order of rising 2θ:
| Position (°2θ) | Rel. int. |
| --- | --- |
| 34.7 | 8 |
| 40.0 | 100 |
| 40.3 | 52 |
| 40.6 | 49 |
| 45.7 | 35 |
| 47.2 | 28 |
| 47.6 | 31 |
| 67.2 | 9 |
| 67.9 | 10 |
| 68.3 | 19 |
| 69.1 | 9 |
| 69.4 | 9 |

Structural model:
```
Cu5Ag4
1.0
4.6939 0.0000 0.0000
0.8693 4.7170 0.0000
1.5023 0.3581 5.9446
Cu Ag
5 4
Cartesian
0.0000 0.0000 0.0000
1.5521 2.0836 0.5948
3.1262 4.2662 1.1679
3.9392 0.8089 4.7767
5.5133 2.9914 5.3497
1.5439 1.2408 3.3857
3.2228 3.3805 4.0769
3.8427 1.6946 1.8677
5.5215 3.8342 2.5589
```

(3)
Structure and computed powder diffractogram of NaZrAlPd (the GGA-PBE geometry in OQMD; Cu Kα, 1.54184 Å).

Principal peaks in the range 10° ≤ 2θ ≤ 80°, in order of rising 2θ:
| Position (°2θ) | Rel. int. |
| --- | --- |
| 23.5 | 45 |
| 38.8 | 100 |
| 45.9 | 22 |
| 56.1 | 17 |
| 61.7 | 9 |
| 70.3 | 33 |
| 75.3 | 7 |

Structural model:
```
NaZrAlPd
1.0
6.5569 0.0000 0.0000
0.0000 6.5569 0.0000
0.0000 0.0000 6.5569
Na Zr Al Pd
4 4 4 4
Cartesian
0.0000 0.0000 0.0000
0.0000 3.2784 3.2784
3.2784 0.0000 3.2784
3.2784 3.2784 0.0000
1.6392 1.6392 4.9176
1.6392 4.9176 1.6392
4.9176 1.6392 1.6392
4.9176 4.9176 4.9176
1.6392 1.6392 1.6392
1.6392 4.9176 4.9176
4.9176 1.6392 4.9176
4.9176 4.9176 1.6392
0.0000 0.0000 3.2784
0.0000 3.2784 0.0000
3.2784 0.0000 0.0000
3.2784 3.2784 3.2784
```

(4)
Structure and computed powder diffractogram of GdHo2ErIn2 (the GGA-PBE geometry in OQMD; Cu Kα, 1.54184 Å).

Principal peaks in the range 10° ≤ 2θ ≤ 80°, in order of rising 2θ:
| Position (°2θ) | Rel. int. |
| --- | --- |
| 23.3 | 3 |
| 26.6 | 4 |
| 32.9 | 97 |
| 33.4 | 100 |
| 43.2 | 7 |
| 47.6 | 35 |
| 54.7 | 8 |
| 59.4 | 36 |
| 59.6 | 19 |
| 65.6 | 28 |
| 70.1 | 12 |
| 79.6 | 15 |

Structural model:
```
GdHo2ErIn2
1.0
5.3706 0.0000 0.0000
-2.6853 4.6511 0.0000
0.0000 0.0000 6.7067
Gd Ho Er In
1 2 1 2
Cartesian
0.0000 0.0000 0.0000
2.6853 1.5504 1.6854
2.6853 1.5504 5.0212
0.0000 3.1007 3.3533
0.0000 0.0000 3.3533
0.0000 3.1007 0.0000
```